No. 1
Computed X-ray diffraction stick pattern of NaMg14Zr for Cu Kα, from a crystal structure in the Materials Project, relaxed with GGA-PBE.

Peak list (10 most intense, 10° ≤ 2θ ≤ 90°, low angle first)
two_theta	I/Imax
15.73	10
17.99	17
31.76	26
35.24	24
36.45	100
48.17	15
56.59	18
64.03	18
68.44	19
69.20	14

Structure:
```
16
Lattice="6.506 0.000 0.000 -3.253 5.634 0.000 0.000 0.000 10.187" Properties=species:S:1:pos:R:3 pbc="T T T"
Na 0.000 0.000 0.000
Mg -1.611 2.826 0.000
Mg -1.602 2.831 5.093
Mg 0.000 1.870 2.580
Mg 0.000 1.870 7.607
Mg -1.634 4.699 2.580
Mg -1.634 4.699 7.607
Mg 1.602 2.831 5.093
Mg 0.000 5.606 5.093
Mg 1.611 2.826 0.000
Mg 0.000 5.617 0.000
Mg 3.253 1.878 2.556
Mg 3.253 1.878 7.631
Mg 1.634 4.699 2.580
Mg 1.634 4.699 7.607
Zr 0.000 0.000 5.093
```



No. 2
Computed X-ray diffraction stick pattern of Ti2C for Cu Kα, from a crystal structure in the Materials Project, relaxed with GGA-PBE.

Peak list (10 most intense, 10° ≤ 2θ ≤ 90°, low angle first)
two_theta	I/Imax
17.78	13
36.01	100
41.83	73
55.25	4
60.64	42
63.73	1
72.59	31
76.38	13
79.18	2
86.54	1

Structure:
```
12
Lattice="0.000 4.320 4.320 4.320 0.000 4.320 4.320 4.320 0.000" Properties=species:S:1:pos:R:3 pbc="T T T"
Ti 6.532 4.267 4.267
Ti 2.107 2.107 2.107
Ti 4.372 4.372 2.107
Ti 4.372 2.107 4.372
Ti 4.267 6.532 4.267
Ti 4.267 4.267 6.532
Ti 6.532 6.532 6.532
Ti 2.107 4.372 4.372
C 0.000 0.000 0.000
C 2.160 2.160 0.000
C 2.160 0.000 2.160
C 0.000 2.160 2.160
```



No. 3
Computed X-ray diffraction stick pattern of ZnC2O6 for Cu Kα, from a crystal structure in the Materials Project, relaxed with GGA-PBE.

Peak list (10 most intense, 10° ≤ 2θ ≤ 90°, low angle first)
two_theta	I/Imax
19.54	26
20.23	88
21.24	70
22.96	35
25.05	42
34.91	100
35.14	32
44.68	21
48.75	28
49.86	15

Structure:
```
18
Lattice="5.145 -2.705 0.000 5.145 2.705 0.000 -4.741 0.000 7.748" Properties=species:S:1:pos:R:3 pbc="T T T"
Zn 1.589 1.821 5.811
Zn 3.960 -1.821 1.937
C 3.926 0.876 1.148
C 3.994 0.876 2.726
C 1.555 -0.876 5.022
C 1.623 -0.876 6.600
O 0.875 0.925 1.871
O 3.949 2.000 0.572
O 3.971 2.000 3.302
O 1.490 0.244 4.454
O -1.495 -0.925 5.745
O 3.861 -0.244 0.580
O 1.688 0.244 7.168
O 7.044 0.925 2.003
O 4.059 -0.244 3.294
O 1.578 -2.000 4.446
O 1.600 -2.000 7.176
O 4.673 -0.925 5.877
```



No. 4
Computed X-ray diffraction stick pattern of Ti4Al2CN for Cu Kα, from a crystal structure in the Materials Project, relaxed with GGA-PBE.

Peak list (10 most intense, 10° ≤ 2θ ≤ 90°, low angle first)
two_theta	I/Imax
12.98	25
34.08	14
34.73	4
39.59	100
43.44	3
53.25	15
61.01	17
71.88	13
75.22	23
85.24	3

Structure:
```
8
Lattice="3.037 0.000 0.000 -1.519 2.630 0.000 0.000 0.000 13.644" Properties=species:S:1:pos:R:3 pbc="T T T"
Ti 0.000 1.754 1.144
Ti 0.000 1.754 5.671
Ti 1.519 0.877 7.973
Ti 1.519 0.877 12.500
Al 0.000 1.754 10.247
Al 1.519 0.877 3.397
C 0.000 0.000 6.822
N 0.000 0.000 0.000
```



No. 5
Computed X-ray diffraction stick pattern of Y2MgSe4 for Cu Kα, from a crystal structure in the Materials Project, relaxed with GGA-PBE.

Peak list (10 most intense, 10° ≤ 2θ ≤ 90°, low angle first)
two_theta	I/Imax
14.21	41
25.94	61
28.64	100
30.78	64
32.72	88
39.53	31
40.19	28
42.94	30
45.08	80
54.27	32

Structure:
```
28
Lattice="13.194 0.000 0.000 0.000 4.023 0.000 0.000 0.000 14.147" Properties=species:S:1:pos:R:3 pbc="T T T"
Y 1.534 1.006 1.033
Y 1.883 1.006 9.938
Y 4.714 3.017 2.864
Y 5.063 3.017 8.106
Y 8.132 1.006 6.041
Y 8.480 1.006 11.283
Y 11.311 3.017 4.209
Y 11.660 3.017 13.115
Mg 1.440 3.017 6.454
Mg 5.157 1.006 13.528
Mg 8.037 3.017 0.619
Mg 11.754 1.006 7.693
Se 0.105 3.017 8.745
Se 0.374 1.006 12.465
Se 2.917 1.006 3.509
Se 3.153 1.006 7.262
Se 3.444 3.017 0.189
Se 3.680 3.017 10.583
Se 6.223 3.017 5.391
Se 6.492 1.006 1.671
Se 6.702 3.017 12.476
Se 6.971 1.006 8.757
Se 9.515 1.006 3.564
Se 9.750 1.006 13.959
Se 10.041 3.017 6.885
Se 10.277 3.017 10.638
Se 12.820 3.017 1.683
Se 13.089 1.006 5.403
```



- What is the formula in the second record?
  Ti2C